Diffraction record for GdThCu2. The powder X-ray diffraction pattern is theoretical, not measured: it uses the GGA-PBE geometry in Alexandria and Cu Ka.
Peak positions follow from Bragg's law for the DFT cell and can differ from measured ones.

Structural model:
```
data_GdThCu2
_chemical_formula_sum 'Gd1 Th1 Cu2'
_space_group_name_H-M_alt 'P 1'
_space_group_IT_number 1
_cell_length_a 5.045
_cell_length_b 5.045
_cell_length_c 3.495
_cell_angle_alpha 90.00
_cell_angle_beta 90.00
_cell_angle_gamma 90.00
loop_
_space_group_symop_operation_xyz
'x,y,z'
loop_
_atom_site_label
_atom_site_type_symbol
_atom_site_fract_x
_atom_site_fract_y
_atom_site_fract_z
_atom_site_occupancy
Gd1 Gd 0.000 0.000 0.000 1
Th1 Th 0.500 0.500 0.000 1
Cu1 Cu 0.000 0.500 0.500 1
Cu2 Cu 0.500 0.000 0.500 1
```

Most intense lines, 10 to 90 degrees two-theta, low angle first:
2θ (°)	I_rel
24.96	26.8
25.49	12.8
35.59	51.5
35.97	100.0
44.29	12.3
51.22	18.2
64.17	36.6
64.92	17.7

Diffraction record for CuTcH2. The powder X-ray diffraction pattern is theoretical, not measured: it uses the GGA-PBE geometry in Alexandria and Cu Ka.
Peak positions follow from Bragg's law for the DFT cell and can differ from measured ones.

Structural model:
```
data_CuTcH2
_chemical_formula_sum 'Cu1 Tc1 H2'
_space_group_name_H-M_alt 'P 1'
_space_group_IT_number 1
_cell_length_a 5.084
_cell_length_b 5.084
_cell_length_c 5.084
_cell_angle_alpha 32.61
_cell_angle_beta 32.61
_cell_angle_gamma 32.61
loop_
_space_group_symop_operation_xyz
'x,y,z'
loop_
_atom_site_label
_atom_site_type_symbol
_atom_site_fract_x
_atom_site_fract_y
_atom_site_fract_z
_atom_site_occupancy
Cu1 Cu 0.000 0.000 0.000 1
Tc1 Tc 0.180 0.180 0.180 1
H1 H 0.578 0.578 0.578 1
H2 H 0.781 0.781 0.781 1
```

Most intense lines, 10 to 90 degrees two-theta, low angle first:
2θ (°)	I_rel
36.89	100.0
37.40	41.7
38.50	26.5
44.43	34.9
48.49	59.5
58.28	17.3
65.39	25.2
77.83	27.2

Diffraction record for Ce2RhPb. The powder X-ray diffraction pattern is theoretical, not measured: it uses the GGA-PBE geometry in Alexandria and Cu Ka.
Peak positions follow from Bragg's law for the DFT cell and can differ from measured ones.

Structural model:
```
data_Ce2RhPb
_chemical_formula_sum 'Ce8 Rh4 Pb4'
_space_group_name_H-M_alt 'P 1'
_space_group_IT_number 1
_cell_length_a 6.893
_cell_length_b 5.280
_cell_length_c 12.144
_cell_angle_alpha 90.00
_cell_angle_beta 90.00
_cell_angle_gamma 90.00
loop_
_space_group_symop_operation_xyz
'x,y,z'
loop_
_atom_site_label
_atom_site_type_symbol
_atom_site_fract_x
_atom_site_fract_y
_atom_site_fract_z
_atom_site_occupancy
Ce1 Ce 0.058 0.250 0.239 1
Ce2 Ce 0.211 0.250 0.545 1
Ce3 Ce 0.289 0.750 0.045 1
Ce4 Ce 0.442 0.750 0.739 1
Ce5 Ce 0.558 0.250 0.261 1
Ce6 Ce 0.711 0.250 0.955 1
Ce7 Ce 0.789 0.750 0.455 1
Ce8 Ce 0.942 0.750 0.761 1
Rh1 Rh 0.183 0.750 0.574 1
Rh2 Rh 0.317 0.250 0.074 1
Rh3 Rh 0.683 0.750 0.926 1
Rh4 Rh 0.817 0.250 0.426 1
Pb1 Pb 0.193 0.250 0.851 1
Pb2 Pb 0.307 0.750 0.351 1
Pb3 Pb 0.693 0.250 0.649 1
Pb4 Pb 0.807 0.750 0.149 1
```

Most intense lines, 10 to 90 degrees two-theta, low angle first:
2θ (°)	I_rel
25.85	43.2
27.77	38.8
30.71	100.0
31.87	69.5
32.22	60.7
33.96	96.3
34.17	37.5
47.51	41.2